No. 1
# CrBiSe2
Theoretical X-ray powder pattern, Cu Kα (weighted mean of Kα1 and Kα2). Input: a DFT-relaxed cell (PBE, Alexandria).

abc: 6.8209 9.3136 6.7413
angles: 90.00 90.00 90.00
Element x y z (fractional)
Cr1 0.0654 0.0974 0.0000
Cr2 0.4346 0.5974 0.5000
Cr3 0.5654 0.4026 0.0000
Cr4 0.9346 0.9026 0.5000
Bi1 0.0630 0.5272 0.2211
Bi2 0.4370 0.0272 0.7211
Bi3 0.5630 0.9728 0.2211
Bi4 0.9370 0.4728 0.7211
Se1 0.0570 0.1359 0.6378
Se2 0.2187 0.7763 0.6541
Se3 0.2813 0.2763 0.1541
Se4 0.4430 0.6359 0.1378
Se5 0.5570 0.3641 0.6378
Se6 0.7187 0.7237 0.6541
Se7 0.7813 0.2237 0.1541
Se8 0.9430 0.8641 0.1378

The 10 most intense peaks (15° ≤ 2θ ≤ 90°), by angle:
Position (°2θ)	intensity
16.11	41
20.84	60
26.44	67
30.91	37
31.12	91
31.69	100
32.54	42
35.23	47
41.71	39
43.13	57

No. 2
# La12Tl4InO3
Theoretical X-ray powder pattern, Cu Kα (weighted mean of Kα1 and Kα2). Input: a DFT-relaxed cell (PBE, Alexandria).

abc: 9.2051 9.2051 9.2051
angles: 109.47 109.47 109.47
Element x y z (fractional)
La1 0.0000 0.2761 0.2761
La2 0.0000 0.7239 0.7239
La3 0.2500 0.5000 0.7500
La4 0.2500 0.7500 0.5000
La5 0.2761 0.0000 0.2761
La6 0.2761 0.2761 0.0000
La7 0.5000 0.2500 0.7500
La8 0.5000 0.7500 0.2500
La9 0.7239 0.0000 0.7239
La10 0.7239 0.7239 0.0000
La11 0.7500 0.2500 0.5000
La12 0.7500 0.5000 0.2500
Tl1 0.0000 0.0000 0.5000
Tl2 0.0000 0.5000 0.0000
Tl3 0.5000 0.0000 0.0000
Tl4 0.5000 0.5000 0.5000
In1 0.0000 0.0000 0.0000
O1 0.0000 0.5000 0.5000
O2 0.5000 0.0000 0.5000
O3 0.5000 0.5000 0.0000

The 10 most intense peaks (15° ≤ 2θ ≤ 90°), by angle:
Position (°2θ)	intensity
23.68	10
29.10	100
31.49	4
33.73	67
48.45	46
57.52	41
60.33	15
70.93	7
78.44	15
80.89	18

No. 3
# NdTl2AsSe4
Theoretical X-ray powder pattern, Cu Kα (weighted mean of Kα1 and Kα2). Input: a DFT-relaxed cell (PBE, Alexandria).

abc: 8.6809 8.6809 8.6809
angles: 120.60 119.56 89.87
Element x y z (fractional)
Nd1 0.0000 0.0000 0.0000
Nd2 0.5000 0.0000 0.5000
Tl1 0.0000 0.5000 0.5000
Tl2 0.5000 0.0000 0.0000
Tl3 0.5000 0.5000 0.0000
Tl4 0.5000 0.5000 0.5000
As1 0.0000 0.0000 0.5000
As2 0.0000 0.5000 0.0000
Se1 0.2019 0.2418 0.9600
Se2 0.2182 0.7582 0.4600
Se3 0.2274 0.2083 0.4809
Se4 0.2274 0.7465 0.0191
Se5 0.7726 0.2535 0.9809
Se6 0.7726 0.7917 0.5191
Se7 0.7818 0.2418 0.5400
Se8 0.7981 0.7582 0.0400

The 10 most intense peaks (15° ≤ 2θ ≤ 90°), by angle:
Position (°2θ)	intensity
25.01	12
25.27	11
29.11	100
41.33	12
41.62	48
42.01	13
51.32	12
51.89	13
68.29	9
68.40	10

No. 4
# Cs2BaTiBr6
Theoretical X-ray powder pattern, Cu Kα (weighted mean of Kα1 and Kα2). Input: a DFT-relaxed cell (PBE, Alexandria).

abc: 8.2595 8.2595 8.2595
angles: 60.00 60.00 60.00
Element x y z (fractional)
Cs1 0.2500 0.2500 0.2500
Cs2 0.7500 0.7500 0.7500
Ba1 0.0000 0.0000 0.0000
Ti1 0.5000 0.5000 0.5000
Br1 0.2702 0.2702 0.7298
Br2 0.2702 0.7298 0.2702
Br3 0.2702 0.7298 0.7298
Br4 0.7298 0.2702 0.2702
Br5 0.7298 0.2702 0.7298
Br6 0.7298 0.7298 0.2702

The 10 most intense peaks (15° ≤ 2θ ≤ 90°), by angle:
Position (°2θ)	intensity
21.52	47
26.43	73
30.61	100
37.73	19
43.84	69
51.93	28
54.42	23
59.19	13
72.36	27
80.58	19

What is the formula in the fourth record?
Cs2BaTiBr6